For Na5ReCl2O4, a cell relaxed with PBE gives the computed powder X-ray diffraction pattern in this record (Cu Kα).
Peak positions follow from Bragg's law for the DFT cell and can differ from measured ones.

The 10 most intense peaks (2θ from 10° to 80°), most intense first:
2θ/deg, d_spacing, intensity
30.10, 2.968, 100
21.14, 4.203, 99
17.20, 5.154, 96
12.19, 7.262, 75
31.39, 2.850, 71
22.08, 4.026, 65
43.04, 2.102, 60
31.87, 2.808, 38
33.79, 2.653, 38
24.51, 3.631, 28

Cell and atoms:
a b c (Å): 7.2625 5.7156 5.7156
angles (deg): 115.61 90.00 90.00
Fractional positions:
1 Na 0.0000 0.0000 0.0000
2 Na 0.2871 0.2030 0.5629
3 Na 0.2871 0.5629 0.2030
4 Na 0.7129 0.2030 0.5629
5 Na 0.7129 0.5629 0.2030
6 Re 0.5000 0.9045 0.9045
7 Cl 0.0000 0.4773 0.8453
8 Cl 0.0000 0.8453 0.4773
9 O 0.3143 0.1221 0.1221
10 O 0.5000 0.5689 0.8777
11 O 0.5000 0.8777 0.5689
12 O 0.6857 0.1221 0.1221